1.
Starting from DFT lattice parameters and positions (PBE), the PXRD pattern of Cd3RhAu4 was calculated for Cu Kα (λ = 1.5418 Å).

Structural model:
```
Cd3RhAu4
1.0
9.7649 -1.5808 0.0000
9.7649 1.5808 0.0000
-1.0901 0.0000 4.7676
Cd Rh Au
3 1 4
Direct
0.0000 0.0000 0.0000
0.1216 0.1216 0.5053
0.8784 0.8784 0.4947
0.5000 0.5000 0.5000
0.2484 0.2484 0.2503
0.3764 0.3764 0.0047
0.6236 0.6236 0.9953
0.7516 0.7516 0.7497
```

Main lines, in order of rising 2θ (2θ = 5–70°):
- 9.3 deg, I = 26
- 34.9 deg, I = 45
- 36.8 deg, I = 20
- 37.8 deg, I = 81
- 38.3 deg, I = 30
- 38.6 deg, I = 95
- 39.1 deg, I = 100
- 58.4 deg, I = 20
- 64.3 deg, I = 21
- 69.5 deg, I = 20

2.
Starting from DFT lattice parameters and positions (PBE), the PXRD pattern of Cd3RhAu2 was calculated for Cu Kα (λ = 1.5418 Å).

Structural model:
```
Cd3RhAu2
1.0
4.3914 0.0000 0.0000
0.0000 7.6719 0.0000
-2.0366 0.0000 6.5970
Cd Rh Au
6 2 4
Direct
0.0000 0.2440 0.0000
0.0000 0.7560 0.0000
0.3280 0.2350 0.6567
0.3280 0.7650 0.6567
0.6720 0.2350 0.3433
0.6720 0.7650 0.3433
0.1606 0.0000 0.3231
0.8394 0.0000 0.6769
0.1655 0.5000 0.3297
0.5000 0.0000 0.0000
0.5000 0.5000 0.0000
0.8345 0.5000 0.6703
```

Main lines, in order of rising 2θ (2θ = 5–70°):
- 11.5 deg, I = 4
- 23.2 deg, I = 6
- 37.0 deg, I = 100
- 37.5 deg, I = 96
- 41.1 deg, I = 75
- 47.4 deg, I = 24
- 47.7 deg, I = 4
- 58.7 deg, I = 13
- 60.3 deg, I = 12
- 64.5 deg, I = 37

Please write out number 1 again, unchanged.
Starting from DFT lattice parameters and positions (PBE), the PXRD pattern of Cd3RhAu4 was calculated for Cu Kα (λ = 1.5418 Å).

Structural model:
```
Cd3RhAu4
1.0
9.7649 -1.5808 0.0000
9.7649 1.5808 0.0000
-1.0901 0.0000 4.7676
Cd Rh Au
3 1 4
Direct
0.0000 0.0000 0.0000
0.1216 0.1216 0.5053
0.8784 0.8784 0.4947
0.5000 0.5000 0.5000
0.2484 0.2484 0.2503
0.3764 0.3764 0.0047
0.6236 0.6236 0.9953
0.7516 0.7516 0.7497
```

Main lines, in order of rising 2θ (2θ = 5–70°):
- 9.3 deg, I = 26
- 34.9 deg, I = 45
- 36.8 deg, I = 20
- 37.8 deg, I = 81
- 38.3 deg, I = 30
- 38.6 deg, I = 95
- 39.1 deg, I = 100
- 58.4 deg, I = 20
- 64.3 deg, I = 21
- 69.5 deg, I = 20